Starting from a cell relaxed with PBE+U, the powder XRD pattern of Al2NiO4 was simulated for Cu Kα (λ = 1.5418 Å).

Cell and atoms:
Unit cell a=5.7521 b=5.7521 c=5.7521 alpha=119.18 beta=119.18 gamma=91.43
Sites, in units of the cell vectors:
Al1 0.2514 0.0000 0.2514
Al2 0.7486 0.0000 0.7486
Al3 0.7500 0.5014 0.7514
Al4 0.7500 0.9986 0.2486
Ni1 0.1199 0.6199 0.5000
Ni2 0.3699 0.3699 0.0000
O1 0.5119 0.2335 0.7216
O2 0.5119 0.7903 0.2784
O3 0.5247 0.2397 0.2850
O4 0.5403 0.7619 0.7784
O5 0.9548 0.2397 0.7150
O6 0.9835 0.7619 0.2216
O7 0.9897 0.2048 0.2150
O8 0.9897 0.7747 0.7850

Principal peaks in the range 2θ from 15° to 90°, sorted by position:
- 30.71°, 2.912 Å, I = 38.7
- 31.11°, 2.875 Å, I = 72.7
- 36.26°, 2.477 Å, I = 100.0
- 36.95°, 2.433 Å, I = 52.9
- 54.85°, 1.674 Å, I = 24.4
- 58.27°, 1.583 Å, I = 40.9
- 59.71°, 1.549 Å, I = 17.6
- 63.95°, 1.456 Å, I = 25.2
- 64.86°, 1.438 Å, I = 48.9
- 76.21°, 1.249 Å, I = 11.9